Theoretical powder XRD pattern of SrPuO5 for Cu Kα (λ = 1.5418 Å), from a crystal structure in Alexandria, relaxed with GGA-PBE.
Kinematic intensities with the Lorentz-polarization factor, no thermal factor.

The 6 most intense peaks (2θ = 10–80°), in order of falling intensity:
d_spacing  I_rel
3.557  100
4.380  89
5.363  64
3.391  41
2.682  36
2.766  34

Structure:
Unit cell a=5.9141 b=5.9141 c=8.3555 alpha=110.50 beta=110.50 gamma=69.98
Positions (direct):
Sr 0.0459 0.9541 0.7500
Sr 0.9541 0.0459 0.2500
Pu 0.5000 0.5000 0.0000
Pu 0.5000 0.5000 0.5000
O 0.2156 0.7777 0.0301
O 0.2223 0.7844 0.4699
O 0.2821 0.2932 0.3937
O 0.2932 0.2821 0.8937
O 0.4199 0.5801 0.7500
O 0.5801 0.4199 0.2500
O 0.7068 0.7179 0.1063
O 0.7179 0.7068 0.6063
O 0.7777 0.2156 0.5301
O 0.7844 0.2223 0.9699